Computed XRD peak list of HoZnMo2O6 for copper Kα, from a DFT-relaxed cell (GGA+U, Alexandria).

Main lines, by intensity (5° ≤ 2θ ≤ 70°):
d_spacing  2theta  Rel. int.  hkl
2.800  31.97  1000  1 1 1
2.784  32.15  971  1 1 -3
2.713  33.01  449  2 0 -2
2.809  31.86  424  0 2 0
1.952  46.54  371  2 2 -2
1.616  56.99  263  2 0 2
1.998  45.40  249  0 0 4
1.577  58.53  243  3 1 -5

Structure:
```
HoZnMo2O6
1.0
5.427 0.000 0.000
0.000 5.618 0.000
-5.366 0.000 7.990
Ho Zn Mo O
2 2 4 12
direct
0.000 0.190 0.000
0.000 0.810 0.500
0.510 0.266 0.507
0.510 0.734 0.007
0.264 0.258 0.754
0.264 0.742 0.254
0.761 0.264 0.251
0.761 0.736 0.751
0.007 0.428 0.182
0.007 0.572 0.682
0.143 0.187 0.499
0.143 0.813 0.999
0.387 0.338 0.005
0.387 0.662 0.505
0.527 0.070 0.327
0.527 0.930 0.827
0.658 0.431 0.815
0.658 0.569 0.315
0.866 0.061 0.688
0.866 0.939 0.188
```